No. 1
The following is a computed X-ray powder pattern of NbCdIr. It was derived from a crystal structure in Alexandria, relaxed with PBE, using Cu Kα (weighted mean of Kα1 and Kα2).
Intensities are scaled so that the largest is 100.

Top 10 peaks for 10° ≤ 2θ ≤ 90°, by intensity:
2θ 31.06, I = 100.0
2θ 41.08, I = 71.1
2θ 41.68, I = 60.3
2θ 42.89, I = 37.2
2θ 21.07, I = 37.1
2θ 34.33, I = 33.0
2θ 30.22, I = 28.0
2θ 39.56, I = 27.7
2θ 61.66, I = 26.7
2θ 77.88, I = 21.5

Lattice parameters (Å, degrees): 6.619 6.309 4.637 72.61 65.44 41.95
Fractional positions:
Nb: 0.250 0.250 0.250
Nb: 0.750 0.750 0.750
Cd: 0.182 0.818 0.182
Cd: 0.818 0.182 0.818
Ir: 0.365 0.365 0.635
Ir: 0.635 0.635 0.365


No. 2
The following is a computed X-ray powder pattern of Tb2Dy3UN6. It was derived from a crystal structure in Alexandria, relaxed with PBE, using Cu Kα (weighted mean of Kα1 and Kα2).
Intensities are scaled so that the largest is 100.

Top 10 peaks for 10° ≤ 2θ ≤ 90°, by intensity:
2θ 31.62, I = 100.0
2θ 36.68, I = 69.6
2θ 52.84, I = 48.0
2θ 62.90, I = 45.1
2θ 89.42, I = 22.4
2θ 86.61, I = 13.2
2θ 66.02, I = 12.2
2θ 77.99, I = 7.6
2θ 86.53, I = 6.7
2θ 66.11, I = 4.1

Lattice parameters (Å, degrees): 6.004 6.004 5.997 99.60 99.60 119.98
Fractional positions:
Tb: 0.166 0.834 0.000
Tb: 0.834 0.166 0.000
Dy: 0.000 0.000 0.500
Dy: 0.332 0.668 0.500
Dy: 0.668 0.332 0.500
U: 0.500 0.500 0.000
N: 0.106 0.419 0.758
N: 0.267 0.267 0.239
N: 0.419 0.106 0.758
N: 0.581 0.894 0.242
N: 0.733 0.733 0.761
N: 0.894 0.581 0.242


No. 3
The following is a computed X-ray powder pattern of TaRu5. It was derived from a crystal structure in Alexandria, relaxed with PBE, using Cu Kα (weighted mean of Kα1 and Kα2).
Intensities are scaled so that the largest is 100.

Top 10 peaks for 10° ≤ 2θ ≤ 90°, by intensity:
2θ 42.99, I = 100.0
2θ 37.52, I = 25.3
2θ 41.13, I = 25.2
2θ 82.38, I = 19.4
2θ 76.24, I = 18.0
2θ 67.70, I = 16.7
2θ 56.88, I = 15.0
2θ 83.63, I = 14.1
2θ 29.62, I = 5.8
2θ 21.40, I = 3.0

Lattice parameters (Å, degrees): 4.794 4.794 4.389 90.00 90.00 120.00
Fractional positions:
Ta: 0.000 0.000 0.000
Ru: 0.000 0.655 0.500
Ru: 0.333 0.667 0.000
Ru: 0.345 0.345 0.500
Ru: 0.655 0.000 0.500
Ru: 0.667 0.333 0.000


No. 4
The following is a computed X-ray powder pattern of Ho5Al2Cd2. It was derived from a crystal structure in Alexandria, relaxed with PBE, using Cu Kα (weighted mean of Kα1 and Kα2).
Intensities are scaled so that the largest is 100.

Top 10 peaks for 10° ≤ 2θ ≤ 90°, by intensity:
2θ 31.82, I = 100.0
2θ 31.98, I = 58.5
2θ 33.06, I = 45.1
2θ 30.81, I = 40.2
2θ 33.98, I = 40.0
2θ 25.93, I = 28.9
2θ 26.63, I = 28.0
2θ 37.39, I = 25.0
2θ 37.64, I = 23.4
2θ 58.24, I = 21.0

Lattice parameters (Å, degrees): 9.090 9.090 7.632 90.00 90.00 50.08
Fractional positions:
Ho: 0.000 0.000 0.000
Ho: 0.053 0.684 0.678
Ho: 0.184 0.553 0.178
Ho: 0.316 0.947 0.678
Ho: 0.447 0.816 0.178
Ho: 0.500 0.500 0.500
Ho: 0.553 0.184 0.822
Ho: 0.684 0.053 0.322
Ho: 0.816 0.447 0.822
Ho: 0.947 0.316 0.322
Al: 0.119 0.881 0.380
Al: 0.381 0.619 0.880
Al: 0.619 0.381 0.120
Al: 0.881 0.119 0.620
Cd: 0.219 0.219 0.000
Cd: 0.281 0.281 0.500
Cd: 0.719 0.719 0.500
Cd: 0.781 0.781 0.000


Copy entry 3 word for word.
The following is a computed X-ray powder pattern of TaRu5. It was derived from a crystal structure in Alexandria, relaxed with PBE, using Cu Kα (weighted mean of Kα1 and Kα2).
Intensities are scaled so that the largest is 100.

Top 10 peaks for 10° ≤ 2θ ≤ 90°, by intensity:
2θ 42.99, I = 100.0
2θ 37.52, I = 25.3
2θ 41.13, I = 25.2
2θ 82.38, I = 19.4
2θ 76.24, I = 18.0
2θ 67.70, I = 16.7
2θ 56.88, I = 15.0
2θ 83.63, I = 14.1
2θ 29.62, I = 5.8
2θ 21.40, I = 3.0

Lattice parameters (Å, degrees): 4.794 4.794 4.389 90.00 90.00 120.00
Fractional positions:
Ta: 0.000 0.000 0.000
Ru: 0.000 0.655 0.500
Ru: 0.333 0.667 0.000
Ru: 0.345 0.345 0.500
Ru: 0.655 0.000 0.500
Ru: 0.667 0.333 0.000